Record 1
The following is a computed XRD peak list of CaSiO5. It was derived from a crystal structure in the Materials Project, relaxed with GGA-PBE, using copper Kα.

Top 10 peaks for 10 to 90 degrees two-theta, by angle:
20.48°, d 4.336, rel. 41, (1 1 -1); 27.33°, d 3.264, rel. 13, (1 1 1); 28.47°, d 3.135, rel. 13, (1 3 0); 30.38°, d 2.942, rel. 100, (1 3 -1); 31.84°, d 2.811, rel. 39, (2 0 0); 33.08°, d 2.708, rel. 18, (0 0 2); 35.48°, d 2.530, rel. 30, (1 3 1); 35.66°, d 2.518, rel. 19, (2 2 0); 50.53°, d 1.806, rel. 14, (2 4 -2); 54.07°, d 1.696, rel. 24, (1 3 -3)

Atomic structure:
Cell: 5.912 11.330 5.695 Å, 90.00 108.04 90.00°
Space group C2/c (No. 15)
One atom of each set of equivalent atoms:
Ca 0.000 0.093 0.250 x4
Si 0.000 0.396 0.250 x4
O 0.000 0.269 0.750 x4
O 0.007 0.288 0.040 x8
O 0.244 0.466 0.364 x8

Record 2
The following is a computed XRD peak list of Ca3SiO. It was derived from a crystal structure in the Materials Project, relaxed with GGA-PBE, using copper Kα.

Top 10 peaks for 10 to 90 degrees two-theta, by angle:
18.77°, d 4.729, rel. 15, (1 0 1); 31.37°, d 2.852, rel. 12, (0 3 1); 32.81°, d 2.730, rel. 100, (2 2 0); 38.06°, d 2.364, rel. 74, (2 0 2); 54.91°, d 1.672, rel. 32, (2 4 2); 55.00°, d 1.669, rel. 7, (4 0 0); 57.65°, d 1.599, rel. 9, (2 5 1); 65.44°, d 1.426, rel. 16, (2 6 0); 65.52°, d 1.425, rel. 10, (4 2 2); 68.85°, d 1.364, rel. 6, (4 4 0)

Atomic structure:
Cell: 6.678 9.457 6.696 Å, 90.00 90.00 90.00°
Space group Pnma (No. 62)
One atom of each set of equivalent atoms:
Ca 0.003 0.250 0.040 x4
Ca 0.230 0.021 0.730 x8
Si 0.009 0.750 0.499 x4
O 0.000 0.000 0.000 x4

Record 3
The following is a computed XRD peak list of Ca3SiO. It was derived from a crystal structure in the Materials Project, relaxed with GGA-PBE, using copper Kα.

Top 10 peaks for 10 to 90 degrees two-theta, by angle:
18.79°, d 4.721, rel. 15, (1 0 1); 31.41°, d 2.848, rel. 8, (0 3 1); 32.86°, d 2.726, rel. 100, (2 2 0); 38.12°, d 2.361, rel. 74, (2 0 2); 54.99°, d 1.670, rel. 35, (2 4 2); 55.10°, d 1.667, rel. 8, (4 0 0); 57.74°, d 1.597, rel. 6, (2 5 1); 65.54°, d 1.424, rel. 19, (2 2 4); 65.64°, d 1.422, rel. 12, (4 2 2); 68.96°, d 1.362, rel. 7, (4 4 0)

Atomic structure:
Cell: 6.667 9.444 6.686 Å, 90.00 90.00 90.00°
Space group Imma (No. 74)
One atom of each set of equivalent atoms:
Ca 0.000 0.250 0.034 x4
Ca 0.250 0.017 0.750 x8
Si 0.000 0.250 0.501 x4
O 0.000 0.000 0.000 x4

Record 4
The following is a computed XRD peak list of Ca3Si2O7. It was derived from a crystal structure in the Materials Project, relaxed with GGA-PBE, using copper Kα.

Top 10 peaks for 10 to 90 degrees two-theta, by angle:
17.30°, d 5.126, rel. 16, (2 0 2); 24.82°, d 3.587, rel. 47, (4 1 1); 28.97°, d 3.082, rel. 61, (0 1 3); 30.74°, d 2.909, rel. 100, (6 1 1); 33.24°, d 2.695, rel. 68, (4 1 3); 34.96°, d 2.567, rel. 15, (0 2 0); 36.72°, d 2.447, rel. 20, (7 1 2); 45.75°, d 1.983, rel. 35, (6 2 2); 47.35°, d 1.920, rel. 20, (0 2 4); 51.87°, d 1.763, rel. 18, (10 0 4)

Atomic structure:
Cell: 22.232 5.139 11.555 Å, 90.00 90.00 90.00°
Space group Ima2 (No. 46)
One atom of each set of equivalent atoms:
Ca 0.000 0.000 0.000 x4
Ca 0.104 0.005 0.728 x8
Ca 0.168 0.005 0.021 x8
Ca 0.250 0.501 0.797 x4
Si 0.000 0.000 0.252 x4
Si 0.101 0.561 0.919 x8
Si 0.250 0.071 0.607 x4
O 0.041 0.180 0.171 x8
O 0.041 0.689 0.842 x8
O 0.092 0.696 0.046 x8
O 0.097 0.245 0.914 x8
O 0.159 0.700 0.856 x8
O 0.191 0.202 0.674 x8
O 0.250 0.206 0.476 x4
O 0.250 0.748 0.108 x4

Record 5
The following is a computed XRD peak list of Ca3SiO. It was derived from a crystal structure in the Materials Project, relaxed with GGA-PBE, using copper Kα.

Top 10 peaks for 10 to 90 degrees two-theta, by angle:
18.78°, d 4.726, rel. 15, (1 0 1); 31.39°, d 2.850, rel. 8, (0 3 1); 32.83°, d 2.728, rel. 100, (2 2 0); 38.08°, d 2.363, rel. 74, (2 0 2); 54.84°, d 1.674, rel. 7, (0 0 4); 54.98°, d 1.670, rel. 36, (4 0 0); 65.46°, d 1.426, rel. 14, (2 2 4); 65.56°, d 1.424, rel. 16, (4 2 2); 68.74°, d 1.366, rel. 6, (0 4 4); 68.90°, d 1.363, rel. 7, (4 4 0)

Atomic structure:
Cell: 6.675 9.445 6.696 Å, 90.00 90.00 90.00°
Space group Pnma (No. 62)
One atom of each set of equivalent atoms:
Ca 0.000 0.250 0.033 x4
Ca 0.243 0.017 0.743 x8
Si 0.002 0.750 0.500 x4
O 0.000 0.000 0.000 x4

Record 6
The following is a computed XRD peak list of CaSiSnO5. It was derived from a crystal structure in the Materials Project, relaxed with GGA-PBE, using copper Kα.

Top 10 peaks for 10 to 90 degrees two-theta, by angle:
17.32°, d 5.119, rel. 82, (0 1 0); 19.71°, d 4.505, rel. 24, (1 -1 0); 26.72°, d 3.337, rel. 100, (1 0 -2); 28.70°, d 3.110, rel. 57, (1 1 0); 33.12°, d 2.705, rel. 58, (1 -2 0); 33.46°, d 2.678, rel. 53, (1 -1 2); 36.70°, d 2.449, rel. 18, (0 1 2); 42.36°, d 2.134, rel. 29, (2 1 -2); 51.68°, d 1.769, rel. 21, (2 0 2); 53.72°, d 1.706, rel. 22, (3 0 0)

Atomic structure:
Cell: 5.633 5.644 7.264 Å, 103.98 103.76 106.06°
Space group P-1 (No. 2)
One atom of each set of equivalent atoms:
Ca 0.161 0.337 0.254 x2
Si 0.183 0.319 0.751 x2
Sn 0.500 0.000 0.000 x1
Sn 0.500 0.000 0.500 x1
O 0.106 0.742 0.413 x2
O 0.177 0.103 0.871 x2
O 0.240 0.608 0.911 x2
O 0.399 0.324 0.630 x2
O 0.411 0.090 0.251 x2